For CsGeTe2, a crystal structure in Alexandria, relaxed with GGA-PBE gives the computed powder diffraction line list in this record (Cu Kα (weighted mean of Kα1 and Kα2)).
No peak broadening, texture or thermal motion is included.

Largest 10 diffraction maxima, sorted by position, 2θ = 10–80°:
Position (°2θ), I_rel
12.29, 60
20.83, 14
24.71, 17
25.90, 100
27.95, 27
33.45, 26
37.40, 30
41.75, 15
45.67, 23
48.42, 10

Crystal structure
```
data_CsGeTe2
_chemical_formula_sum 'Cs2 Ge2 Te4'
_cell_length_a 7.9673
_cell_length_b 7.9673
_cell_length_c 6.8849
_cell_angle_alpha 90.00
_cell_angle_beta 90.00
_cell_angle_gamma 115.28
_space_group_name_H-M_alt 'P 1'
_space_group_IT_number 1
_space_group_name_Hall 'P 1'
loop_
_atom_site_label
_atom_site_fract_x
_atom_site_fract_y
_atom_site_fract_z
Cs1 0.0000 0.5000 0.0000
Cs2 0.5000 0.0000 0.5000
Ge1 0.0000 0.0000 0.2500
Ge2 0.0000 0.0000 0.7500
Te1 0.0599 0.2909 0.5000
Te2 0.2909 0.0599 0.0000
Te3 0.7091 0.9401 0.0000
Te4 0.9401 0.7091 0.5000
```

---

For Cs2Ge2Te5, a crystal structure in Alexandria, relaxed with GGA-PBE gives the computed powder diffraction line list in this record (Cu Kα (weighted mean of Kα1 and Kα2)).
No peak broadening, texture or thermal motion is included.

Largest 10 diffraction maxima, sorted by position, 2θ = 10–80°:
Position (°2θ), I_rel
13.74, 37
20.97, 37
22.09, 50
25.16, 57
25.44, 65
27.69, 82
29.62, 42
30.21, 34
31.21, 43
33.15, 100

Crystal structure
```
data_Cs2Ge2Te5
_chemical_formula_sum 'Cs4 Ge4 Te10'
_cell_length_a 13.7450
_cell_length_b 13.7450
_cell_length_c 7.0549
_cell_angle_alpha 99.25
_cell_angle_beta 99.25
_cell_angle_gamma 35.90
_space_group_name_H-M_alt 'P 1'
_space_group_IT_number 1
_space_group_name_Hall 'P 1'
loop_
_atom_site_label
_atom_site_fract_x
_atom_site_fract_y
_atom_site_fract_z
Cs1 0.2410 0.7590 0.5000
Cs2 0.4695 0.9640 0.6343
Cs3 0.7590 0.2410 0.0000
Cs4 0.9640 0.4695 0.1343
Ge1 0.4031 0.8862 0.0677
Ge2 0.7228 0.9562 0.0721
Ge3 0.8862 0.4031 0.5677
Ge4 0.9562 0.7228 0.5721
Te1 0.0120 0.4892 0.6606
Te2 0.0435 0.6783 0.2090
Te3 0.1082 0.1181 0.8115
Te4 0.1181 0.1082 0.3115
Te5 0.1975 0.5860 0.8276
Te6 0.4892 0.0120 0.1606
Te7 0.5860 0.1975 0.3276
Te8 0.6029 0.6125 0.3093
Te9 0.6125 0.6029 0.8092
Te10 0.6783 0.0435 0.7090
```